This entry pairs a crystal structure of PuIn2FeO6 with its calculated X-ray powder pattern. Radiation: a wavelength of 1.5418 Å. Structure: a structure optimized by DFT (PBE+U).
No peak broadening, texture or thermal motion is included.

Structural model:
abc: 5.561 5.610 5.896
angles: 90.99 117.24 119.65
Fractional coordinates of all 10 atoms:
Pu 0.000 0.000 0.000
In 0.418 0.708 0.128
In 0.422 0.209 0.630
Fe 0.004 0.503 0.498
O 0.197 0.404 0.308
O 0.208 0.306 0.806
O 0.499 0.901 0.802
O 0.501 0.104 0.302
O 0.904 0.801 0.304
O 0.905 0.595 0.794

Main lines, in order of rising 2θ (2θ = 10–90°):
- hkl 0 0 1, 17.83 deg, I 26
- hkl 0 1 0, 19.20 deg, I 42
- hkl 1 0 -1, 19.37 deg, I 21
- hkl 1 0 0, 21.76 deg, I 27
- hkl 1 -1 1, 30.01 deg, I 52
- hkl 0 1 1, 30.25 deg, I 50
- hkl 1 0 -2, 30.44 deg, I 49
- hkl 1 -2 0, 31.89 deg, I 100
- hkl -2 1 1, 32.20 deg, I 48
- hkl 0 2 -2, 44.27 deg, I 21
- hkl 0 3 -1, 56.61 deg, I 24
- hkl -3 3 1, 57.22 deg, I 30